This entry pairs a crystal structure of Y3ErN4 with its calculated powder diffraction line list. Radiation: Cu Ka. Structure: a GGA-PBE-relaxed structure.
Neutral-atom scattering factors, no anomalous dispersion.

Largest 6 diffraction maxima, most intense first, 2θ from 10° to 90°:
Position (°2θ)	intensity
31.6	100
36.7	83
52.8	55
62.9	44
89.4	24
86.6	19

Cell and atoms:
abc: 4.9019 4.9019 4.9019
angles: 90.00 90.00 90.00
Fractional positions:
Y1 0.0000 0.0000 0.5000
Y2 0.0000 0.5000 0.0000
Y3 0.5000 0.0000 0.0000
Er1 0.5000 0.5000 0.5000
N1 0.0000 0.0000 0.0000
N2 0.0000 0.5000 0.5000
N3 0.5000 0.0000 0.5000
N4 0.5000 0.5000 0.0000

This entry pairs a crystal structure of Na3ErTi2Nb2O12 with its calculated powder diffraction line list. Radiation: Cu Ka. Structure: a GGA-PBE-relaxed structure.
Neutral-atom scattering factors, no anomalous dispersion.

Largest 6 diffraction maxima, most intense first, 2θ from 10° to 90°:
Position (°2θ)	intensity
32.4	100
32.7	100
46.9	65
11.4	59
31.9	54
19.5	51

Cell and atoms:
abc: 5.4429 5.6069 7.7508
angles: 89.99 89.90 88.93
Fractional positions:
Na1 0.0000 0.0000 0.0000
Na2 0.0143 0.9325 0.5026
Na3 0.4923 0.4694 0.0050
Er1 0.4935 0.4033 0.5028
Ti1 0.5082 0.9454 0.7466
Ti2 0.9884 0.4537 0.2599
Nb1 0.5085 0.9469 0.2430
Nb2 0.9935 0.4649 0.7619
O1 0.0643 0.4562 0.0052
O2 0.2205 0.2074 0.3051
O3 0.2235 0.2063 0.6983
O4 0.3134 0.6775 0.3061
O5 0.3137 0.6819 0.6986
O6 0.4274 0.9684 0.9988
O7 0.5798 0.0072 0.5045
O8 0.7010 0.2824 0.7738
O9 0.7054 0.2801 0.2319
O10 0.8023 0.7836 0.7870
O11 0.8085 0.7765 0.2129
O12 0.8999 0.5079 0.4987

Copy entry 2 word for word.
This entry pairs a crystal structure of Na3ErTi2Nb2O12 with its calculated powder diffraction line list. Radiation: Cu Ka. Structure: a GGA-PBE-relaxed structure.
Neutral-atom scattering factors, no anomalous dispersion.

Largest 6 diffraction maxima, most intense first, 2θ from 10° to 90°:
Position (°2θ)	intensity
32.4	100
32.7	100
46.9	65
11.4	59
31.9	54
19.5	51

Cell and atoms:
abc: 5.4429 5.6069 7.7508
angles: 89.99 89.90 88.93
Fractional positions:
Na1 0.0000 0.0000 0.0000
Na2 0.0143 0.9325 0.5026
Na3 0.4923 0.4694 0.0050
Er1 0.4935 0.4033 0.5028
Ti1 0.5082 0.9454 0.7466
Ti2 0.9884 0.4537 0.2599
Nb1 0.5085 0.9469 0.2430
Nb2 0.9935 0.4649 0.7619
O1 0.0643 0.4562 0.0052
O2 0.2205 0.2074 0.3051
O3 0.2235 0.2063 0.6983
O4 0.3134 0.6775 0.3061
O5 0.3137 0.6819 0.6986
O6 0.4274 0.9684 0.9988
O7 0.5798 0.0072 0.5045
O8 0.7010 0.2824 0.7738
O9 0.7054 0.2801 0.2319
O10 0.8023 0.7836 0.7870
O11 0.8085 0.7765 0.2129
O12 0.8999 0.5079 0.4987

Repeat the second record exactly.
This entry pairs a crystal structure of Na3ErTi2Nb2O12 with its calculated powder diffraction line list. Radiation: Cu Ka. Structure: a GGA-PBE-relaxed structure.
Neutral-atom scattering factors, no anomalous dispersion.

Largest 6 diffraction maxima, most intense first, 2θ from 10° to 90°:
Position (°2θ)	intensity
32.4	100
32.7	100
46.9	65
11.4	59
31.9	54
19.5	51

Cell and atoms:
abc: 5.4429 5.6069 7.7508
angles: 89.99 89.90 88.93
Fractional positions:
Na1 0.0000 0.0000 0.0000
Na2 0.0143 0.9325 0.5026
Na3 0.4923 0.4694 0.0050
Er1 0.4935 0.4033 0.5028
Ti1 0.5082 0.9454 0.7466
Ti2 0.9884 0.4537 0.2599
Nb1 0.5085 0.9469 0.2430
Nb2 0.9935 0.4649 0.7619
O1 0.0643 0.4562 0.0052
O2 0.2205 0.2074 0.3051
O3 0.2235 0.2063 0.6983
O4 0.3134 0.6775 0.3061
O5 0.3137 0.6819 0.6986
O6 0.4274 0.9684 0.9988
O7 0.5798 0.0072 0.5045
O8 0.7010 0.2824 0.7738
O9 0.7054 0.2801 0.2319
O10 0.8023 0.7836 0.7870
O11 0.8085 0.7765 0.2129
O12 0.8999 0.5079 0.4987